Entry 1:
For Ce3GaBr3, a structure optimized by DFT (PBE) gives the theoretical powder XRD pattern in this record (CuKα).
Neutral-atom scattering factors, no anomalous dispersion.

```
data_Ce3GaBr3
_space_group_name_H-M_alt 'P m -3 m'
_space_group_IT_number 221
_space_group_name_Hall '-P 4 2 3'
_cell_length_a 6.0317
_cell_length_b 6.0317
_cell_length_c 6.0317
_cell_angle_alpha 90.00
_cell_angle_beta 90.00
_cell_angle_gamma 90.00
loop_
_atom_site_label
_atom_site_type_symbol
_atom_site_fract_x
_atom_site_fract_y
_atom_site_fract_z
Ce1 Ce 0.0000 0.0000 0.5000
Ga1 Ga 0.0000 0.0000 0.0000
Br1 Br 0.0000 0.5000 0.5000
```

Most intense lines, 2θ = 15–90°, sorted by position:
2θ = 20.83°, d = 4.265 Å, I = 19, (1 1 0)
2θ = 29.62°, d = 3.016 Å, I = 100, (2 0 0)
2θ = 33.21°, d = 2.697 Å, I = 9, (2 1 0)
2θ = 36.49°, d = 2.462 Å, I = 9, (2 1 1)
2θ = 42.39°, d = 2.133 Å, I = 75, (2 2 0)
2θ = 45.09°, d = 2.011 Å, I = 5, (3 0 0)
2θ = 52.56°, d = 1.741 Å, I = 26, (2 2 2)
2θ = 61.49°, d = 1.508 Å, I = 12, (4 0 0)
2θ = 69.72°, d = 1.349 Å, I = 34, (4 2 0)
2θ = 77.53°, d = 1.231 Å, I = 25, (4 2 2)

=====

Entry 2:
For LaCeSbS5Br, a structure optimized by DFT (PBE) gives the theoretical powder XRD pattern in this record (CuKα).
Neutral-atom scattering factors, no anomalous dispersion.

```
data_LaCeSbS5Br
_space_group_name_H-M_alt 'P 21 21 21'
_space_group_IT_number 19
_cell_length_a 5.5849
_cell_length_b 9.0257
_cell_length_c 17.7734
_cell_angle_alpha 90.00
_cell_angle_beta 90.00
_cell_angle_gamma 90.00
loop_
_space_group_symop_operation_xyz
'x,y,z'
'-x+1/2,-y,z+1/2'
'x+1/2,-y+1/2,-z'
'-x,y+1/2,-z+1/2'
loop_
_atom_site_label
_atom_site_type_symbol
_atom_site_fract_x
_atom_site_fract_y
_atom_site_fract_z
La1 La 0.0091 0.0939 0.3010
Ce1 Ce 0.0103 0.5292 0.4705
Sb1 Sb 0.0386 0.2346 0.8301
S1 S 0.0062 0.4676 0.6412
S2 S 0.0079 0.8232 0.5410
S3 S 0.0146 0.7689 0.3459
S4 S 0.1815 0.9041 0.1708
S5 S 0.1922 0.4068 0.3267
Br1 Br 0.0096 0.1526 0.4730
```

Most intense lines, 2θ = 15–90°, sorted by position:
2θ = 21.21°, d = 4.189 Å, I = 74, (1 1 2)
2θ = 22.30°, d = 3.986 Å, I = 38, (0 1 4)
2θ = 25.37°, d = 3.510 Å, I = 45, (1 2 0)
2θ = 25.87°, d = 3.444 Å, I = 36, (1 2 1)
2θ = 29.79°, d = 2.999 Å, I = 32, (1 0 5)
2θ = 30.16°, d = 2.963 Å, I = 63, (0 0 6)
2θ = 32.05°, d = 2.792 Å, I = 100, (2 0 0)
2θ = 33.40°, d = 2.682 Å, I = 76, (0 3 3)
2θ = 34.23°, d = 2.620 Å, I = 59, (1 3 1)
2θ = 39.40°, d = 2.287 Å, I = 40, (2 1 4)

=====

Entry 3:
For Ce6S4BrN3, a structure optimized by DFT (PBE) gives the theoretical powder XRD pattern in this record (CuKα).
Neutral-atom scattering factors, no anomalous dispersion.

```
data_Ce6S4BrN3
_space_group_name_H-M_alt 'P n m a'
_space_group_IT_number 62
_cell_length_a 11.3994
_cell_length_b 3.9829
_cell_length_c 27.1455
_cell_angle_alpha 90.00
_cell_angle_beta 90.00
_cell_angle_gamma 90.00
loop_
_space_group_symop_operation_xyz
'x,y,z'
'-x,-y,-z'
'-x+1/2,-y,z+1/2'
'x+1/2,y,-z+1/2'
'x+1/2,-y+1/2,-z+1/2'
'-x+1/2,y+1/2,z+1/2'
'-x,y+1/2,-z'
'x,-y+1/2,z'
loop_
_atom_site_label
_atom_site_type_symbol
_atom_site_fract_x
_atom_site_fract_y
_atom_site_fract_z
Ce1 Ce 0.0567 0.2500 0.0775
Ce2 Ce 0.0586 0.2500 0.8086
Ce3 Ce 0.1022 0.2500 0.5360
Ce4 Ce 0.1269 0.2500 0.2826
Ce5 Ce 0.2446 0.7500 0.4354
Ce6 Ce 0.2461 0.7500 0.1726
S1 S 0.1366 0.7500 0.7358
S2 S 0.1459 0.7500 0.9966
S3 S 0.1859 0.7500 0.8638
S4 S 0.2048 0.7500 0.6015
Br1 Br 0.0372 0.7500 0.3626
N1 N 0.0654 0.7500 0.1258
N2 N 0.0947 0.7500 0.4868
N3 N 0.1129 0.7500 0.2372
```

Most intense lines, 2θ = 15–90°, sorted by position:
2θ = 26.89°, d = 3.315 Å, I = 100, (3 0 4)
2θ = 27.11°, d = 3.289 Å, I = 72, (1 1 4)
2θ = 28.88°, d = 3.091 Å, I = 34, (1 1 5)
2θ = 32.22°, d = 2.778 Å, I = 39, (0 1 7)
2θ = 32.99°, d = 2.715 Å, I = 23, (3 0 7)
2θ = 34.10°, d = 2.630 Å, I = 50, (3 1 3)
2θ = 38.26°, d = 2.353 Å, I = 20, (2 1 8)
2θ = 39.00°, d = 2.309 Å, I = 19, (4 1 1)
2θ = 45.55°, d = 1.991 Å, I = 32, (0 2 0)
2θ = 53.69°, d = 1.707 Å, I = 30, (3 2 4)

=====

Entry 4:
For Rb2NaCeBr6, a structure optimized by DFT (PBE) gives the theoretical powder XRD pattern in this record (CuKα).
Neutral-atom scattering factors, no anomalous dispersion.

```
data_Rb2NaCeBr6
_space_group_name_H-M_alt 'F m -3 m'
_space_group_IT_number 225
_space_group_name_Hall '-F 4 2 3'
_cell_length_a 11.6072
_cell_length_b 11.6072
_cell_length_c 11.6072
_cell_angle_alpha 90.00
_cell_angle_beta 90.00
_cell_angle_gamma 90.00
loop_
_atom_site_label
_atom_site_type_symbol
_atom_site_fract_x
_atom_site_fract_y
_atom_site_fract_z
Rb1 Rb 0.2500 0.2500 0.2500
Na1 Na 0.0000 0.0000 0.0000
Ce1 Ce 0.0000 0.0000 0.5000
Br1 Br 0.0000 0.0000 0.2508
```

Most intense lines, 2θ = 15–90°, sorted by position:
2θ = 15.27°, d = 5.804 Å, I = 19, (2 0 0)
2θ = 21.66°, d = 4.104 Å, I = 21, (2 2 0)
2θ = 26.60°, d = 3.351 Å, I = 72, (2 2 2)
2θ = 30.81°, d = 2.902 Å, I = 100, (4 0 0)
2θ = 44.14°, d = 2.052 Å, I = 73, (4 4 0)
2θ = 52.28°, d = 1.750 Å, I = 32, (6 2 2)
2θ = 54.79°, d = 1.675 Å, I = 25, (4 4 4)
2θ = 70.76°, d = 1.331 Å, I = 13, (6 6 2)
2θ = 72.89°, d = 1.298 Å, I = 32, (8 4 0)
2θ = 81.20°, d = 1.185 Å, I = 24, (8 4 4)

=====

Entry 5:
For CeSbS2Br2, a structure optimized by DFT (PBE) gives the theoretical powder XRD pattern in this record (CuKα).
Neutral-atom scattering factors, no anomalous dispersion.

```
data_CeSbS2Br2
_space_group_name_H-M_alt 'P 1 21/c 1'
_space_group_IT_number 14
_cell_length_a 8.8691
_cell_length_b 9.4222
_cell_length_c 18.0214
_cell_angle_alpha 90.00
_cell_angle_beta 104.21
_cell_angle_gamma 90.00
loop_
_space_group_symop_operation_xyz
'x,y,z'
'-x,-y,-z'
'-x,y+1/2,-z+1/2'
'x,-y+1/2,z+1/2'
loop_
_atom_site_label
_atom_site_type_symbol
_atom_site_fract_x
_atom_site_fract_y
_atom_site_fract_z
Ce1 Ce 0.1131 0.1368 0.2367
Ce2 Ce 0.3777 0.6321 0.2565
Sb1 Sb 0.2241 0.6601 0.9419
Sb2 Sb 0.2287 0.0413 0.9500
S1 S 0.0196 0.6509 0.4439
S2 S 0.1598 0.6646 0.8021
S3 S 0.1622 0.0607 0.8095
S4 S 0.4298 0.6503 0.4461
Br1 Br 0.0570 0.6283 0.1318
Br2 Br 0.3381 0.5541 0.6623
Br3 Br 0.3432 0.1741 0.6692
Br4 Br 0.4200 0.1302 0.3631
```

Most intense lines, 2θ = 15–90°, sorted by position:
2θ = 19.52°, d = 4.549 Å, I = 26, (0 2 1)
2θ = 25.03°, d = 3.557 Å, I = 23, (1 0 4)
2θ = 26.99°, d = 3.304 Å, I = 44, (2 1 -4)
2θ = 29.49°, d = 3.029 Å, I = 100, (2 2 -3)
2θ = 30.25°, d = 2.955 Å, I = 45, (2 1 -5)
2θ = 34.02°, d = 2.635 Å, I = 29, (2 1 -6)
2θ = 35.01°, d = 2.563 Å, I = 40, (2 3 -1)
2θ = 38.20°, d = 2.356 Å, I = 45, (0 4 0)
2θ = 40.69°, d = 2.217 Å, I = 39, (4 0 -2)
2θ = 40.92°, d = 2.205 Å, I = 24, (0 2 7)

=====

Entry 6:
For Ce3Si2S8Br, a structure optimized by DFT (PBE) gives the theoretical powder XRD pattern in this record (CuKα).
Neutral-atom scattering factors, no anomalous dispersion.

```
data_Ce3Si2S8Br
_space_group_name_H-M_alt 'C 1 2/c 1'
_space_group_IT_number 15
_cell_length_a 15.8244
_cell_length_b 7.7801
_cell_length_c 10.9969
_cell_angle_alpha 90.00
_cell_angle_beta 97.46
_cell_angle_gamma 90.00
loop_
_space_group_symop_operation_xyz
'x,y,z'
'-x,-y,-z'
'-x,y,-z+1/2'
'x,-y,z+1/2'
'x+1/2,y+1/2,z'
'-x+1/2,-y+1/2,-z'
'-x+1/2,y+1/2,-z+1/2'
'x+1/2,-y+1/2,z+1/2'
loop_
_atom_site_label
_atom_site_type_symbol
_atom_site_fract_x
_atom_site_fract_y
_atom_site_fract_z
Ce1 Ce 0.0000 0.1083 0.2500
Ce2 Ce 0.1952 0.3803 0.6839
Si1 Si 0.1599 0.0323 0.0298
S1 S 0.0660 0.1580 0.5475
S2 S 0.1446 0.2475 0.1439
S3 S 0.1490 0.0946 0.8395
S4 S 0.2161 0.4269 0.4144
Br1 Br 0.0000 0.4924 0.7500
```

Most intense lines, 2θ = 15–90°, sorted by position:
2θ = 16.26°, d = 5.452 Å, I = 100, (0 0 2)
2θ = 21.23°, d = 4.185 Å, I = 60, (3 1 -1)
2θ = 22.86°, d = 3.891 Å, I = 63, (3 1 1)
2θ = 24.29°, d = 3.664 Å, I = 76, (0 2 1)
2θ = 26.21°, d = 3.400 Å, I = 46, (4 0 -2)
2θ = 32.72°, d = 2.737 Å, I = 94, (4 2 -1)
2θ = 33.79°, d = 2.652 Å, I = 83, (3 1 3)
2θ = 34.63°, d = 2.590 Å, I = 56, (1 1 -4)
2θ = 39.13°, d = 2.302 Å, I = 64, (4 2 -3)
2θ = 40.14°, d = 2.246 Å, I = 66, (6 0 2)